Calculated powder XRD pattern of Ba4SrU3O12 for Cu Kα X-rays, from a crystal structure in Alexandria, relaxed with PBE.

Main lines, by angle (2θ from 15° to 90°):
- 2θ 28.2, I 100.0, (2 2 0)
- 2θ 40.3, I 28.3, (4 0 0)
- 2θ 49.9, I 42.5, (4 2 2)
- 2θ 58.3, I 18.5, (4 4 0)
- 2θ 66.0, I 19.3, (6 2 0)
- 2θ 80.3, I 23.1, (6 4 2)

Structure:
Unit cell a=8.9513 b=8.9513 c=8.9513 alpha=90.00 beta=90.00 gamma=90.00
Space group Im-3m (No. 229)
Unique sites:
Ba 0.2500 0.2500 0.2500 x8
Sr 0.0000 0.0000 0.0000 x2
U 0.0000 0.0000 0.5000 x6
O 0.0000 0.0000 0.2688 x12
O 0.0000 0.2500 0.5000 x12

***

Calculated powder XRD pattern of TbGa4Ni4 for Cu Kα X-rays, from a crystal structure in Alexandria, relaxed with PBE.

Main lines, by angle (2θ from 15° to 90°):
- 2θ 31.6, I 52.9, (1 2 1)
- 2θ 34.9, I 100.0, (3 1 0)
- 2θ 40.0, I 63.5, (0 0 2)
- 2θ 44.9, I 86.0, (3 2 1)
- 2θ 50.5, I 57.0, (1 4 1)
- 2θ 54.1, I 55.6, (3 1 2)

Structure:
Unit cell a=8.1362 b=8.1362 c=4.5131 alpha=90.00 beta=90.00 gamma=90.00
Space group I4/m (No. 87)
Unique sites:
Tb 0.0000 0.0000 0.0000 x2
Ga 0.1102 0.6152 0.5000 x8
Ni 0.1853 0.3125 0.5000 x8

***

Calculated powder XRD pattern of La5NdSm5 for Cu Kα X-rays, from a crystal structure in Alexandria, relaxed with PBE.

Main lines, by angle (2θ from 15° to 90°):
- 2θ 28.0, I 100.0, (1 0 3)
- 2θ 28.3, I 89.0, (1 1 0)
- 2θ 29.3, I 32.4, (1 1 1)
- 2θ 33.7, I 36.4, (2 0 1)
- 2θ 34.6, I 33.9, (1 0 4)
- 2θ 49.9, I 39.7, (2 1 3)

Structure:
Unit cell a=6.3063 b=6.3063 c=11.7674 alpha=90.00 beta=90.00 gamma=120.00
Space group P-6m2 (No. 187)
Unique sites:
La 0.0000 0.0000 0.0000 x1
La 0.3333 0.6667 0.3218 x2
La 0.6667 0.3333 0.1548 x2
Nd 0.3333 0.6667 0.0000 x1
Sm 0.0000 0.0000 0.2652 x2
Sm 0.3356 0.1678 0.5000 x3

***

Copy entry 1 word for word.
Calculated powder XRD pattern of Ba4SrU3O12 for Cu Kα X-rays, from a crystal structure in Alexandria, relaxed with PBE.

Main lines, by angle (2θ from 15° to 90°):
- 2θ 28.2, I 100.0, (2 2 0)
- 2θ 40.3, I 28.3, (4 0 0)
- 2θ 49.9, I 42.5, (4 2 2)
- 2θ 58.3, I 18.5, (4 4 0)
- 2θ 66.0, I 19.3, (6 2 0)
- 2θ 80.3, I 23.1, (6 4 2)

Structure:
Unit cell a=8.9513 b=8.9513 c=8.9513 alpha=90.00 beta=90.00 gamma=90.00
Space group Im-3m (No. 229)
Unique sites:
Ba 0.2500 0.2500 0.2500 x8
Sr 0.0000 0.0000 0.0000 x2
U 0.0000 0.0000 0.5000 x6
O 0.0000 0.0000 0.2688 x12
O 0.0000 0.2500 0.5000 x12